Structure and computed PXRD pattern of CrPIrO2 (a crystal structure in Alexandria, relaxed with GGA+U; Cu Kα X-rays).
Peak positions follow from Bragg's law for the DFT cell and can differ from measured ones.

The 12 most intense peaks (15 to 90 degrees two-theta), in order of rising 2θ:
| d [Å] | I/Imax | index |
| --- | --- | --- |
| 5.392 | 39 | 0 0 1 |
| 3.750 | 50 | 1 0 0 |
| 3.078 | 100 | 1 0 1 |
| 2.696 | 37 | 0 0 2 |
| 2.651 | 43 | 1 1 0 |
| 2.189 | 24 | 1 0 2 |
| 1.890 | 32 | 1 1 2 |
| 1.875 | 24 | 2 0 0 |
| 1.621 | 15 | 1 0 3 |
| 1.601 | 29 | 2 1 1 |
| 1.539 | 25 | 2 0 2 |
| 1.424 | 13 | 2 1 2 |

a = 3.7497 Å, b = 3.7497 Å, c = 5.3919 Å
α = 90.00°, β = 90.00°, γ = 90.00°
Fractional coordinates of all 5 atoms:
1 Cr 0.0000 0.0000 0.0000
2 P 0.5000 0.5000 0.0000
3 Ir 0.5000 0.5000 0.5000
4 O 0.0000 0.5000 0.5000
5 O 0.5000 0.0000 0.5000